Starting from DFT lattice parameters and positions (GGA+U), the XRD peak list of LiMnPO4 was calculated for Cu Kα X-rays.
No peak broadening, texture or thermal motion is included.

Structural model:
```
data_LiMnPO4
_cell_length_a 10.293
_cell_length_b 5.115
_cell_length_c 6.904
_cell_angle_alpha 90.00
_cell_angle_beta 90.00
_cell_angle_gamma 90.00
_symmetry_space_group_name_H-M 'P n a 21'
_symmetry_Int_Tables_number 33
_symmetry_space_group_name_Hall 'P 2c -2n'
loop_
_atom_site_label
_atom_site_type_symbol
_atom_site_fract_x
_atom_site_fract_y
_atom_site_fract_z
_atom_site_occupancy
Li1 Li 0.152 0.188 0.000 1
Mn1 Mn 0.153 0.189 0.500 1
P1 P 0.095 0.686 0.750 1
O1 O 0.051 0.244 0.246 1
O2 O 0.117 0.384 0.754 1
O3 O 0.159 0.807 0.934 1
O4 O 0.162 0.796 0.564 1
```

Most intense lines, 10° ≤ 2θ ≤ 90°, sorted by position:
2theta	intensity
21.6	100
31.2	14
32.5	10
34.9	16
35.1	17
35.9	9